No. 1
Zn2P7Ru12: theoretical powder diffraction line list (copper Kα), based on a structure optimized by DFT (GGA-PBE).
Lines closer than 0.1° are merged.

Cell and atoms:
Cell lengths 9.497, 9.497, 3.753 Å; angles 90.00, 90.00, 120.00 degrees
Positions (direct):
1 Zn 0.000 0.000 0.000
2 Zn 0.333 0.667 0.500
3 P 0.055 0.416 0.000
4 P 0.280 0.256 0.500
5 P 0.362 0.945 0.000
6 P 0.584 0.638 0.000
7 P 0.667 0.333 0.000
8 P 0.744 0.025 0.500
9 P 0.975 0.720 0.500
10 Ru 0.029 0.231 0.500
11 Ru 0.132 0.696 0.000
12 Ru 0.202 0.971 0.500
13 Ru 0.304 0.436 0.000
14 Ru 0.397 0.207 0.000
15 Ru 0.535 0.087 0.500
16 Ru 0.552 0.465 0.500
17 Ru 0.564 0.868 0.000
18 Ru 0.769 0.798 0.500
19 Ru 0.793 0.190 0.000
20 Ru 0.810 0.603 0.000
21 Ru 0.913 0.448 0.500

Most intense lines, 2θ from 5° to 70°, low angle first:
2θ/deg  d_spacing  Rel. int.
28.72  3.109  14
30.36  2.944  7
37.57  2.394  100
39.50  2.281  10
40.76  2.214  7
44.04  2.056  9
45.19  2.006  9
48.23  1.887  15
48.52  1.876  18
50.87  1.795  11

---

No. 2
La7Zn2Cd2: theoretical powder diffraction line list (copper Kα), based on a structure optimized by DFT (GGA-PBE).
Lines closer than 0.1° are merged.

Cell and atoms:
Cell lengths 7.060, 7.060, 7.789 Å; angles 90.04, 90.04, 69.58 degrees
Positions (direct):
1 La 0.000 0.000 0.000
2 La 0.000 0.500 0.285
3 La 0.000 0.500 0.715
4 La 0.500 0.000 0.285
5 La 0.500 0.000 0.715
6 La 0.500 0.500 0.244
7 La 0.500 0.500 0.756
8 Zn 0.286 0.286 0.000
9 Zn 0.714 0.714 0.000
10 Cd 0.171 0.829 0.500
11 Cd 0.829 0.171 0.500

Most intense lines, 2θ from 5° to 70°, low angle first:
2θ/deg  d_spacing  Rel. int.
24.88  3.578  46
26.56  3.356  66
26.95  3.308  66
27.59  3.233  27
30.84  2.899  76
34.54  2.597  56
35.61  2.521  100
40.03  2.253  21
45.01  2.014  24
57.97  1.591  26